# 1
The following is a theoretical X-ray powder pattern of Tb15Tm4Zr. It was derived from the PBE geometry in Alexandria, using Cu Kα (weighted mean of Kα1 and Kα2).
Intensities are scaled so that the largest is 100.

Largest 6 diffraction maxima, by angle, 2θ from 10° to 90°:
2theta  d [Å]  I (rel.)  hkl
31.1  2.878  100  1 1 5
36.0  2.497  34  2 0 0
36.1  2.485  16  0 0 10
51.9  1.761  23  2 0 10
61.6  1.505  28  3 1 5
61.9  1.500  13  1 1 15

Cell and atoms:
Cell: 4.994 4.994 24.848 Å, 90.00 90.00 90.00°
Space group P4/mmm (No. 123)
Symmetry-distinct sites (fractional):
Tb  0.000  0.000  0.000 x1
Tb  0.000  0.000  0.198 x2
Tb  0.000  0.000  0.399 x2
Tb  0.000  0.500  0.095 x4
Tb  0.000  0.500  0.298 x4
Tb  0.000  0.500  0.500 x2
Tm  0.500  0.500  0.198 x2
Tm  0.500  0.500  0.399 x2
Zr  0.500  0.500  0.000 x1

---

# 2
The following is a theoretical X-ray powder pattern of Tb8Y3. It was derived from the PBE geometry in Alexandria, using Cu Kα (weighted mean of Kα1 and Kα2).
Intensities are scaled so that the largest is 100.

Largest 6 diffraction maxima, by angle, 2θ from 10° to 90°:
2theta  d [Å]  I (rel.)  hkl
30.7  2.914  34  4 0 1
30.7  2.908  100  3 1 -2
35.6  2.520  67  1 1 3
51.3  1.783  32  2 0 6
60.9  1.520  33  5 1 4
61.0  1.518  23  9 1 -6

Cell and atoms:
Cell: 15.530 3.562 14.684 Å, 90.00 119.92 90.00°
Space group C2/m (No. 12)
Symmetry-distinct sites (fractional):
Tb  0.046  0.000  0.318 x4
Tb  0.137  0.000  0.954 x4
Tb  0.181  0.500  0.772 x4
Tb  0.228  0.000  0.591 x4
Y  0.000  0.500  0.500 x2
Y  0.091  0.500  0.136 x4

---

# 3
The following is a theoretical X-ray powder pattern of Tb2Y5. It was derived from the PBE geometry in Alexandria, using Cu Kα (weighted mean of Kα1 and Kα2).
Intensities are scaled so that the largest is 100.

Largest 6 diffraction maxima, by angle, 2θ from 10° to 90°:
2theta  d [Å]  I (rel.)  hkl
28.3  3.158  25  3 1 -2
31.6  2.832  24  4 0 2
32.5  2.758  100  2 2 1
50.0  1.823  20  6 0 -4
56.8  1.621  20  6 2 3
60.4  1.533  22  7 3 0

Cell and atoms:
Cell: 15.745 6.316 9.239 Å, 90.00 96.18 90.00°
Space group C2/c (No. 15)
Symmetry-distinct sites (fractional):
Tb  0.071  0.166  0.107 x8
Y  0.000  0.332  0.750 x4
Y  0.142  0.333  0.464 x8
Y  0.215  0.165  0.822 x8

---

Question: Which formula does entry 1 have?
Answer: Tb15Tm4Zr